This entry pairs a crystal structure of Rb3Na3CrCl8 with its simulated PXRD pattern. Radiation: λ = 1.5418 Å (Cu Kα). Structure: a cell relaxed with GGA-PBE.
No peak broadening, texture or thermal motion is included.

Principal peaks in the range 2θ from 10° to 90°, sorted by position:
2θ 12.86, I = 42
2θ 24.42, I = 10
2θ 24.94, I = 10
2θ 29.40, I = 100
2θ 31.80, I = 16
2θ 40.76, I = 29
2θ 43.33, I = 33
2θ 53.23, I = 15
2θ 57.63, I = 8
2θ 70.97, I = 11

Structural model:
```
data_Rb3Na3CrCl8
_chemical_formula_sum 'Rb3 Na3 Cr1 Cl8'
_space_group_name_H-M_alt 'P 1'
_space_group_IT_number 1
_cell_length_a 8.887
_cell_length_b 8.887
_cell_length_c 8.887
_cell_angle_alpha 56.06
_cell_angle_beta 56.06
_cell_angle_gamma 56.06
loop_
_space_group_symop_operation_xyz
'x,y,z'
loop_
_atom_site_label
_atom_site_fract_x
_atom_site_fract_y
_atom_site_fract_z
Rb1 0.000 0.500 0.500
Rb2 0.500 0.000 0.500
Rb3 0.500 0.500 0.000
Na1 0.000 0.000 0.500
Na2 0.000 0.500 0.000
Na3 0.500 0.000 0.000
Cr1 0.500 0.500 0.500
Cl1 0.236 0.236 0.236
Cl2 0.266 0.711 0.711
Cl3 0.289 0.289 0.734
Cl4 0.289 0.734 0.289
Cl5 0.711 0.266 0.711
Cl6 0.711 0.711 0.266
Cl7 0.734 0.289 0.289
Cl8 0.764 0.764 0.764
```

***

This entry pairs a crystal structure of ZrCrRe2 with its simulated PXRD pattern. Radiation: λ = 1.5418 Å (Cu Kα). Structure: a cell relaxed with GGA-PBE.
No peak broadening, texture or thermal motion is included.

Principal peaks in the range 2θ from 10° to 90°, sorted by position:
2θ 20.08, I = 24
2θ 30.32, I = 9
2θ 34.86, I = 15
2θ 40.09, I = 28
2θ 40.55, I = 100
2θ 40.82, I = 20
2θ 58.55, I = 14
2θ 63.86, I = 10
2θ 73.15, I = 17
2θ 74.11, I = 16

Structural model:
```
data_ZrCrRe2
_chemical_formula_sum 'Zr1 Cr1 Re2'
_space_group_name_H-M_alt 'P 1'
_space_group_IT_number 1
_cell_length_a 2.742
_cell_length_b 2.742
_cell_length_c 8.843
_cell_angle_alpha 90.00
_cell_angle_beta 90.00
_cell_angle_gamma 110.18
loop_
_space_group_symop_operation_xyz
'x,y,z'
loop_
_atom_site_label
_atom_site_fract_x
_atom_site_fract_y
_atom_site_fract_z
Zr1 0.000 0.000 0.000
Cr1 0.000 0.000 0.500
Re1 0.500 0.500 0.275
Re2 0.500 0.500 0.725
```

***

This entry pairs a crystal structure of Mg5InIr3 with its simulated PXRD pattern. Radiation: λ = 1.5418 Å (Cu Kα). Structure: a cell relaxed with GGA-PBE.
No peak broadening, texture or thermal motion is included.

Principal peaks in the range 2θ from 10° to 90°, sorted by position:
2θ 18.58, I = 100
2θ 19.84, I = 45
2θ 27.31, I = 19
2θ 31.32, I = 17
2θ 37.35, I = 78
2θ 37.68, I = 26
2θ 40.31, I = 22
2θ 44.73, I = 21
2θ 46.32, I = 46
2θ 61.18, I = 17

Structural model:
```
data_Mg5InIr3
_chemical_formula_sum 'Mg10 In2 Ir6'
_space_group_name_H-M_alt 'P 1'
_space_group_IT_number 1
_cell_length_a 6.711
_cell_length_b 6.711
_cell_length_c 8.979
_cell_angle_alpha 102.80
_cell_angle_beta 102.80
_cell_angle_gamma 90.71
loop_
_space_group_symop_operation_xyz
'x,y,z'
loop_
_atom_site_label
_atom_site_fract_x
_atom_site_fract_y
_atom_site_fract_z
Mg1 0.226 0.762 0.329
Mg2 0.237 0.237 0.405
Mg3 0.237 0.763 0.000
Mg4 0.238 0.774 0.671
Mg5 0.266 0.266 0.096
Mg6 0.734 0.734 0.904
Mg7 0.762 0.226 0.329
Mg8 0.763 0.237 0.000
Mg9 0.763 0.763 0.595
Mg10 0.774 0.238 0.671
In1 0.257 0.257 0.750
In2 0.743 0.743 0.250
Ir1 0.000 0.000 0.500
Ir2 0.008 0.008 0.850
Ir3 0.494 0.494 0.638
Ir4 0.500 0.500 0.000
Ir5 0.506 0.506 0.362
Ir6 0.992 0.992 0.150
```

***

This entry pairs a crystal structure of Tb3TmTl3Te8 with its simulated PXRD pattern. Radiation: λ = 1.5418 Å (Cu Kα). Structure: a cell relaxed with GGA-PBE.
No peak broadening, texture or thermal motion is included.

Principal peaks in the range 2θ from 10° to 90°, sorted by position:
2θ 12.16, I = 6
2θ 27.55, I = 100
2θ 37.62, I = 39
2θ 41.03, I = 36
2θ 44.25, I = 7
2θ 50.14, I = 19
2θ 56.88, I = 12
2θ 61.92, I = 15
2θ 66.72, I = 16
2θ 72.47, I = 8

Structural model:
```
data_Tb3TmTl3Te8
_chemical_formula_sum 'Tb3 Tm1 Tl3 Te8'
_space_group_name_H-M_alt 'P 1'
_space_group_IT_number 1
_cell_length_a 8.803
_cell_length_b 8.803
_cell_length_c 9.642
_cell_angle_alpha 117.22
_cell_angle_beta 117.22
_cell_angle_gamma 59.91
loop_
_space_group_symop_operation_xyz
'x,y,z'
loop_
_atom_site_label
_atom_site_fract_x
_atom_site_fract_y
_atom_site_fract_z
Tb1 0.000 0.000 0.000
Tb2 0.000 0.500 0.000
Tb3 0.500 0.000 0.000
Tm1 0.500 0.500 0.000
Tl1 0.000 0.500 0.500
Tl2 0.500 0.000 0.500
Tl3 0.500 0.500 0.500
Te1 0.239 0.239 0.217
Te2 0.240 0.737 0.214
Te3 0.263 0.263 0.786
Te4 0.263 0.760 0.786
Te5 0.737 0.240 0.214
Te6 0.737 0.737 0.214
Te7 0.760 0.263 0.786
Te8 0.761 0.761 0.783
```